Simulated powder XRD pattern of K2SnCl4O for Cu Kα, 1.54184 Å, from DFT lattice parameters and positions (GGA-PBE).
Lines closer than 0.1° are merged.

abc: 12.4715 9.5579 7.4152
angles: 90.00 90.00 90.00
Fractional coordinates of all 32 atoms:
K (0.1582, 0.0277, 0.1086)
K (0.1582, 0.4723, 0.1086)
K (0.3418, 0.5277, 0.6086)
K (0.3418, 0.9723, 0.6086)
K (0.6582, 0.0277, 0.3914)
K (0.6582, 0.4723, 0.3914)
K (0.8418, 0.5277, 0.8914)
K (0.8418, 0.9723, 0.8914)
Sn (0.0325, 0.2500, 0.4726)
Sn (0.4675, 0.7500, 0.9726)
Sn (0.5325, 0.2500, 0.0274)
Sn (0.9675, 0.7500, 0.5274)
Cl (0.0683, 0.0618, 0.6890)
Cl (0.0683, 0.4382, 0.6890)
Cl (0.1612, 0.7500, 0.4206)
Cl (0.2427, 0.2500, 0.4197)
Cl (0.2573, 0.7500, 0.9197)
Cl (0.3388, 0.2500, 0.9206)
Cl (0.4317, 0.5618, 0.1890)
Cl (0.4317, 0.9382, 0.1890)
Cl (0.5683, 0.0618, 0.8110)
Cl (0.5683, 0.4382, 0.8110)
Cl (0.6612, 0.7500, 0.0794)
Cl (0.7427, 0.2500, 0.0803)
Cl (0.7573, 0.7500, 0.5803)
Cl (0.8388, 0.2500, 0.5794)
Cl (0.9317, 0.5618, 0.3110)
Cl (0.9317, 0.9382, 0.3110)
O (0.0238, 0.2500, 0.2161)
O (0.4762, 0.7500, 0.7161)
O (0.5238, 0.2500, 0.2839)
O (0.9762, 0.7500, 0.7839)

Top 10 peaks for 2θ = 15–90°, most intense first:
23.26°, intensity 100.0
39.24°, intensity 48.7
31.37°, intensity 48.4
30.52°, intensity 36.1
24.55°, intensity 33.7
37.63°, intensity 30.1
34.34°, intensity 24.4
30.15°, intensity 22.7
33.78°, intensity 22.3
41.78°, intensity 18.6

Simulated powder XRD pattern of Nb10C7 for Cu Kα, 1.54184 Å, from DFT lattice parameters and positions (GGA-PBE).
Lines closer than 0.1° are merged.

abc: 8.3479 8.3479 5.5165
angles: 96.39 96.39 141.51
Fractional coordinates of all 17 atoms:
Nb (0.0608, 0.4523, 0.2315)
Nb (0.1472, 0.3516, 0.7414)
Nb (0.2362, 0.2362, 0.2640)
Nb (0.3516, 0.1472, 0.7414)
Nb (0.4523, 0.0608, 0.2315)
Nb (0.5477, 0.9392, 0.7685)
Nb (0.6484, 0.8528, 0.2586)
Nb (0.7638, 0.7638, 0.7360)
Nb (0.8528, 0.6484, 0.2586)
Nb (0.9392, 0.5477, 0.7685)
C (0.0000, 0.0000, 0.5000)
C (0.1011, 0.8989, 0.0000)
C (0.3004, 0.6996, 0.0000)
C (0.3993, 0.6007, 0.5000)
C (0.6007, 0.3993, 0.5000)
C (0.6996, 0.3004, 0.0000)
C (0.8989, 0.1011, 0.0000)

Top 10 peaks for 2θ = 15–90°, most intense first:
34.59°, intensity 100.0
34.73°, intensity 98.3
40.34°, intensity 88.6
40.02°, intensity 43.1
58.19°, intensity 42.0
58.07°, intensity 26.5
69.83°, intensity 24.6
69.30°, intensity 17.1
58.56°, intensity 13.8
69.63°, intensity 13.5